The following is a theoretical powder diffraction line list of Cs4Pm3MnTe8. It was derived from a structure optimized by DFT (GGA-PBE), using CuKα.
Lines closer than 0.1° are merged.

Top 10 peaks for 10 to 80 degrees two-theta, in order of rising 2θ:
26.16 deg, rel. 100, (0 2 4); 28.04 deg, rel. 10, (2 0 5); 32.58 deg, rel. 9, (0 2 7); 35.14 deg, rel. 30, (2 0 8); 39.41 deg, rel. 37, (2 2 0); 47.92 deg, rel. 18, (4 0 4); 50.37 deg, rel. 8, (2 2 9); 53.82 deg, rel. 9, (0 4 8); 63.71 deg, rel. 15, (2 4 4); 68.72 deg, rel. 8, (4 2 8)

```
data_Cs4Pm3MnTe8
_chemical_formula_sum 'Cs12 Pm9 Mn3 Te24'
_symmetry_space_group_name_H-M 'R -3 m'
_symmetry_Int_Tables_number 166
_symmetry_space_group_name_Hall '-R 3 2"'
_cell_length_a 9.1460
_cell_length_b 9.1460
_cell_length_c 26.7257
_cell_angle_alpha 90.00
_cell_angle_beta 90.00
_cell_angle_gamma 120.00
loop_
_atom_site_label
_atom_site_fract_x
_atom_site_fract_y
_atom_site_fract_z
Cs1 0.0000 0.0000 0.0000
Cs2 0.0000 0.5000 0.0000
Pm1 0.0000 0.5000 0.5000
Mn1 0.0000 0.0000 0.5000
Te1 0.0000 0.0000 0.2323
Te2 0.0218 0.5109 0.2279
```